This entry pairs a crystal structure of LiLa4Ag3 with its simulated X-ray powder pattern. Radiation: Cu Kα X-rays. Structure: the GGA-PBE geometry in Alexandria.

Atomic structure:
```
LiLa4Ag3
1.0
3.869 0.000 0.000
0.000 5.383 0.000
0.000 0.000 10.832
Li La Ag
1 4 3
Cartesian
0.000 0.000 0.000
1.934 0.000 2.794
1.934 0.000 8.038
1.934 2.691 0.000
1.934 2.691 5.416
0.000 0.000 5.416
0.000 2.691 2.596
0.000 2.691 8.237
```

Main lines, low angle first (2θ = 10–80°):
32.96°, d 2.718, I = 100.0; 33.08°, d 2.708, I = 24.2; 33.29°, d 2.691, I = 24.5; 46.97°, d 1.934, I = 9.2; 47.64°, d 1.909, I = 17.2; 58.65°, d 1.574, I = 9.1; 58.78°, d 1.571, I = 9.3; 59.01°, d 1.565, I = 17.2; 59.28°, d 1.559, I = 17.9; 69.13°, d 1.359, I = 11.0; 78.24°, d 1.222, I = 7.9; 79.22°, d 1.209, I = 10.7

This entry pairs a crystal structure of Tb3ErIr3 with its simulated X-ray powder pattern. Radiation: Cu Kα X-rays. Structure: the GGA-PBE geometry in Alexandria.

Atomic structure:
```
Tb3ErIr3
1.0
4.827 2.787 1.985
-4.827 2.787 1.985
0.000 -5.574 1.985
Tb Er Ir
3 1 3
Cartesian
-2.414 -1.394 1.985
-2.414 1.394 3.970
0.000 2.787 1.985
0.000 0.000 0.000
-4.827 0.000 2.977
-2.414 1.394 0.992
2.414 1.394 0.992
```

Main lines, low angle first (2θ = 10–80°):
18.33°, d 4.840, I = 28.3; 32.08°, d 2.790, I = 11.2; 37.07°, d 2.425, I = 100.0; 37.25°, d 2.414, I = 98.7; 41.80°, d 2.161, I = 3.8; 49.97°, d 1.825, I = 4.3; 53.57°, d 1.711, I = 35.0; 66.70°, d 1.402, I = 18.2; 67.06°, d 1.396, I = 35.8; 67.18°, d 1.394, I = 17.8; 78.96°, d 1.213, I = 11.4; 79.41°, d 1.207, I = 11.2

This entry pairs a crystal structure of CsGePt3 with its simulated X-ray powder pattern. Radiation: Cu Kα X-rays. Structure: the GGA-PBE geometry in Alexandria.

Atomic structure:
```
CsGePt3
1.0
6.656 0.000 0.000
0.000 5.463 0.000
-0.853 0.000 7.721
Cs Ge Pt
2 2 6
Cartesian
1.213 1.366 3.031
4.590 4.098 4.690
2.645 4.098 0.821
3.157 1.366 6.899
0.169 4.098 0.288
1.147 0.013 6.545
1.147 2.719 6.545
4.656 2.744 1.175
4.656 5.451 1.175
5.634 1.366 7.433
```

Main lines, low angle first (2θ = 10–80°):
11.46°, d 7.721, I = 100.0; 18.60°, d 4.771, I = 18.8; 23.34°, d 3.812, I = 9.0; 28.01°, d 3.185, I = 35.8; 28.31°, d 3.153, I = 16.3; 36.99°, d 2.430, I = 32.2; 41.33°, d 2.185, I = 11.5; 41.93°, d 2.155, I = 11.6; 42.94°, d 2.106, I = 12.1; 45.05°, d 2.012, I = 10.0; 45.41°, d 1.997, I = 22.8; 48.60°, d 1.873, I = 12.8

This entry pairs a crystal structure of La2TeI3 with its simulated X-ray powder pattern. Radiation: Cu Kα X-rays. Structure: the GGA-PBE geometry in Alexandria.

Atomic structure:
```
La2TeI3
1.0
11.682 0.000 0.000
0.000 4.462 0.000
-5.287 0.000 11.487
La Te I
4 2 6
Cartesian
-1.433 1.115 3.847
1.711 1.115 1.332
4.684 3.346 10.155
7.829 3.346 7.640
-0.590 3.346 1.752
6.985 1.115 9.735
-1.447 1.115 7.150
1.672 1.115 4.509
3.880 3.346 0.586
2.515 1.115 10.901
4.723 3.346 6.978
7.842 3.346 4.337
```

Main lines, low angle first (2θ = 10–80°):
13.52°, d 6.549, I = 35.6; 20.43°, d 4.347, I = 44.6; 21.61°, d 4.113, I = 43.4; 25.15°, d 3.541, I = 29.2; 26.10°, d 3.415, I = 24.1; 26.54°, d 3.359, I = 51.5; 27.24°, d 3.274, I = 23.8; 30.64°, d 2.918, I = 47.6; 30.89°, d 2.895, I = 83.0; 31.14°, d 2.872, I = 32.6; 35.09°, d 2.557, I = 83.3; 40.48°, d 2.228, I = 100.0

Please write out number 4 again, unchanged.
This entry pairs a crystal structure of La2TeI3 with its simulated X-ray powder pattern. Radiation: Cu Kα X-rays. Structure: the GGA-PBE geometry in Alexandria.

Atomic structure:
```
La2TeI3
1.0
11.682 0.000 0.000
0.000 4.462 0.000
-5.287 0.000 11.487
La Te I
4 2 6
Cartesian
-1.433 1.115 3.847
1.711 1.115 1.332
4.684 3.346 10.155
7.829 3.346 7.640
-0.590 3.346 1.752
6.985 1.115 9.735
-1.447 1.115 7.150
1.672 1.115 4.509
3.880 3.346 0.586
2.515 1.115 10.901
4.723 3.346 6.978
7.842 3.346 4.337
```

Main lines, low angle first (2θ = 10–80°):
13.52°, d 6.549, I = 35.6; 20.43°, d 4.347, I = 44.6; 21.61°, d 4.113, I = 43.4; 25.15°, d 3.541, I = 29.2; 26.10°, d 3.415, I = 24.1; 26.54°, d 3.359, I = 51.5; 27.24°, d 3.274, I = 23.8; 30.64°, d 2.918, I = 47.6; 30.89°, d 2.895, I = 83.0; 31.14°, d 2.872, I = 32.6; 35.09°, d 2.557, I = 83.3; 40.48°, d 2.228, I = 100.0